[1]
Starting from DFT lattice parameters and positions (GGA-PBE), the PXRD pattern of AlIn2I5 was computed for CuKα.
Peak positions follow from Bragg's law for the DFT cell and can differ from measured ones.

Main lines, by angle (2θ = 15–90°):
- hkl 3 1 2, 25.8°, intensity 90.4
- hkl 1 3 0, 26.1°, intensity 100.0
- hkl 2 2 2, 26.4°, intensity 36.2
- hkl 6 0 -4, 27.1°, intensity 32.5
- hkl 2 2 -4, 28.5°, intensity 38.5
- hkl 1 3 -3, 31.2°, intensity 35.3
- hkl 8 0 -2, 34.1°, intensity 25.7
- hkl 2 0 -6, 35.8°, intensity 26.8

```
data_AlIn2I5
_symmetry_space_group_name_H-M 'C 1 2/c 1'
_symmetry_Int_Tables_number 15
_symmetry_space_group_name_Hall '-C 2yc'
_cell_length_a 21.581
_cell_length_b 10.449
_cell_length_c 15.908
_cell_angle_alpha 90.00
_cell_angle_beta 122.11
_cell_angle_gamma 90.00
loop_
_atom_site_label
_atom_site_type_symbol
_atom_site_fract_x
_atom_site_fract_y
_atom_site_fract_z
Al1 Al 0.171 0.084 0.323
In1 In 0.037 0.293 0.447
In2 In 0.128 0.315 0.815
I1 I 0.022 0.396 0.900
I2 I 0.078 0.036 0.664
I3 I 0.122 0.315 0.304
I4 I 0.177 0.026 0.971
I5 I 0.203 0.415 0.658
```


[2]
Starting from DFT lattice parameters and positions (GGA-PBE), the PXRD pattern of NbAlIn2I was computed for CuKα.
Peak positions follow from Bragg's law for the DFT cell and can differ from measured ones.

Main lines, by angle (2θ = 15–90°):
- hkl 0 0 1, 16.6°, intensity 49.5
- hkl 1 0 1, 22.3°, intensity 68.3
- hkl 1 1 1, 27.0°, intensity 61.3
- hkl 2 0 0, 30.0°, intensity 100.0
- hkl 0 0 2, 33.5°, intensity 37.3
- hkl 2 1 1, 37.8°, intensity 34.6
- hkl 2 2 0, 43.0°, intensity 36.8
- hkl 2 0 2, 45.6°, intensity 61.9

```
data_NbAlIn2I
_symmetry_space_group_name_H-M 'P 4/m m m'
_symmetry_Int_Tables_number 123
_symmetry_space_group_name_Hall '-P 4 2'
_cell_length_a 5.951
_cell_length_b 5.951
_cell_length_c 5.350
_cell_angle_alpha 90.00
_cell_angle_beta 90.00
_cell_angle_gamma 90.00
loop_
_atom_site_label
_atom_site_type_symbol
_atom_site_fract_x
_atom_site_fract_y
_atom_site_fract_z
Nb1 Nb 0.000 0.000 0.000
Al1 Al 0.500 0.500 0.000
In1 In 0.000 0.500 0.500
I1 I 0.500 0.500 0.500
```


[3]
Starting from DFT lattice parameters and positions (GGA-PBE), the PXRD pattern of Al2InIO8 was computed for CuKα.
Peak positions follow from Bragg's law for the DFT cell and can differ from measured ones.

Main lines, by angle (2θ = 15–90°):
- hkl 1 1 0, 19.4°, intensity 100.0
- hkl 0 2 0, 27.5°, intensity 63.3
- hkl 2 0 0, 27.7°, intensity 64.9
- hkl 1 1 2, 34.9°, intensity 89.3
- hkl 0 2 2, 40.1°, intensity 43.2
- hkl 1 3 2, 53.5°, intensity 40.1
- hkl 3 1 2, 53.8°, intensity 43.1
- hkl 3 3 2, 68.6°, intensity 26.7

```
data_Al2InIO8
_symmetry_space_group_name_H-M 'C m m m'
_symmetry_Int_Tables_number 65
_symmetry_space_group_name_Hall '-C 2 2'
_cell_length_a 6.437
_cell_length_b 6.490
_cell_length_c 6.225
_cell_angle_alpha 90.00
_cell_angle_beta 90.00
_cell_angle_gamma 90.00
loop_
_atom_site_label
_atom_site_type_symbol
_atom_site_fract_x
_atom_site_fract_y
_atom_site_fract_z
Al1 Al 0.000 0.000 0.238
In1 In 0.000 0.500 0.000
I1 I 0.000 0.500 0.500
O1 O 0.000 0.298 0.279
O2 O 0.180 0.000 0.000
O3 O 0.199 0.000 0.500
```


[4]
Starting from DFT lattice parameters and positions (GGA-PBE), the PXRD pattern of Rb2AlInI6 was computed for CuKα.
Peak positions follow from Bragg's law for the DFT cell and can differ from measured ones.

Main lines, by angle (2θ = 15–90°):
- hkl 2 1 0, 24.3°, intensity 86.3
- hkl 2 0 0, 25.2°, intensity 66.4
- hkl 2 2 2, 26.5°, intensity 37.9
- hkl 2 0 2, 29.5°, intensity 100.0
- hkl 1 -2 0, 31.7°, intensity 44.9
- hkl 2 3 0, 38.6°, intensity 21.4
- hkl 2 2 4, 43.1°, intensity 34.2
- hkl 2 1 -2, 43.4°, intensity 25.7

```
data_Rb2AlInI6
_symmetry_space_group_name_H-M 'P 1'
_symmetry_Int_Tables_number 1
_symmetry_space_group_name_Hall 'P 1'
_cell_length_a 8.396
_cell_length_b 8.412
_cell_length_c 8.413
_cell_angle_alpha 62.49
_cell_angle_beta 62.48
_cell_angle_gamma 62.48
loop_
_atom_site_label
_atom_site_type_symbol
_atom_site_fract_x
_atom_site_fract_y
_atom_site_fract_z
Rb1 Rb 0.000 0.000 0.000
Rb2 Rb 0.481 0.479 0.481
Al1 Al 0.240 0.239 0.240
In1 In 0.740 0.739 0.740
I1 I 0.026 0.393 0.538
I2 I 0.087 0.941 0.452
I3 I 0.393 0.537 0.028
I4 I 0.454 0.085 0.942
I5 I 0.538 0.028 0.395
I6 I 0.943 0.450 0.086
```


[5]
Starting from DFT lattice parameters and positions (GGA-PBE), the PXRD pattern of AlPIr2I was computed for CuKα.
Peak positions follow from Bragg's law for the DFT cell and can differ from measured ones.

Main lines, by angle (2θ = 15–90°):
- hkl 0 0 1, 17.0°, intensity 28.1
- hkl 1 1 1, 32.6°, intensity 100.0
- hkl 0 0 2, 34.4°, intensity 26.6
- hkl 2 0 0, 39.4°, intensity 36.4
- hkl 2 0 2, 53.3°, intensity 30.5
- hkl 1 1 3, 60.4°, intensity 17.2
- hkl 3 1 1, 67.2°, intensity 25.0
- hkl 2 2 2, 68.3°, intensity 14.5

```
data_AlPIr2I
_symmetry_space_group_name_H-M 'P 4/m m m'
_symmetry_Int_Tables_number 123
_symmetry_space_group_name_Hall '-P 4 2'
_cell_length_a 4.569
_cell_length_b 4.569
_cell_length_c 5.220
_cell_angle_alpha 90.00
_cell_angle_beta 90.00
_cell_angle_gamma 90.00
loop_
_atom_site_label
_atom_site_type_symbol
_atom_site_fract_x
_atom_site_fract_y
_atom_site_fract_z
Al1 Al 0.000 0.000 0.000
P1 P 0.500 0.500 0.500
Ir1 Ir 0.000 0.500 0.000
I1 I 0.000 0.000 0.500
```


[6]
Starting from DFT lattice parameters and positions (GGA-PBE), the PXRD pattern of K4AlI7 was computed for CuKα.
Peak positions follow from Bragg's law for the DFT cell and can differ from measured ones.

Main lines, by angle (2θ = 15–90°):
- hkl 3 1 -1, 20.8°, intensity 84.2
- hkl 1 1 2, 23.4°, intensity 100.0
- hkl 0 2 0, 24.6°, intensity 76.4
- hkl 2 0 -3, 24.8°, intensity 89.5
- hkl 0 2 1, 26.1°, intensity 55.0
- hkl 4 0 1, 27.3°, intensity 75.2
- hkl 4 0 -3, 28.9°, intensity 77.4
- hkl 2 2 -2, 30.3°, intensity 74.6

```
data_K4AlI7
_symmetry_space_group_name_H-M 'C 1 2 1'
_symmetry_Int_Tables_number 5
_symmetry_space_group_name_Hall 'C 2y'
_cell_length_a 16.182
_cell_length_b 7.238
_cell_length_c 10.858
_cell_angle_alpha 90.00
_cell_angle_beta 108.58
_cell_angle_gamma 90.00
loop_
_atom_site_label
_atom_site_type_symbol
_atom_site_fract_x
_atom_site_fract_y
_atom_site_fract_z
K1 K 0.077 0.000 0.249
K2 K 0.141 0.488 0.966
Al1 Al 0.000 0.500 0.500
I1 I 0.000 0.853 0.500
I2 I 0.069 0.497 0.269
I3 I 0.137 0.986 0.974
I4 I 0.140 0.335 0.635
```


[7]
Starting from DFT lattice parameters and positions (GGA-PBE), the PXRD pattern of KAl2I6 was computed for CuKα.
Peak positions follow from Bragg's law for the DFT cell and can differ from measured ones.

Main lines, by angle (2θ = 15–90°):
- hkl 0 0 6, 21.7°, intensity 32.4
- hkl 1 1 0, 21.8°, intensity 11.4
- hkl 2 -1 3, 24.4°, intensity 100.0
- hkl 1 1 6, 31.0°, intensity 19.0
- hkl 3 0 0, 38.3°, intensity 20.3
- hkl 2 -1 9, 39.8°, intensity 26.8
- hkl 0 3 6, 44.5°, intensity 20.3
- hkl 2 2 3, 45.9°, intensity 12.3

```
data_KAl2I6
_symmetry_space_group_name_H-M 'R 3'
_symmetry_Int_Tables_number 146
_symmetry_space_group_name_Hall 'R 3'
_cell_length_a 8.1412
_cell_length_b 8.1412
_cell_length_c 24.5394
_cell_angle_alpha 90.00
_cell_angle_beta 90.00
_cell_angle_gamma 120.00
loop_
_atom_site_label
_atom_site_type_symbol
_atom_site_fract_x
_atom_site_fract_y
_atom_site_fract_z
K1 K 0.0000 0.0000 0.0000
Al1 Al 0.0000 0.0000 0.2693
Al2 Al 0.0000 0.0000 0.3836
I1 I 0.0139 0.3856 0.0771
I2 I 0.0320 0.6676 0.9088
```


[8]
Starting from DFT lattice parameters and positions (GGA-PBE), the PXRD pattern of K2Al2I7 was computed for CuKα.
Peak positions follow from Bragg's law for the DFT cell and can differ from measured ones.

Main lines, by angle (2θ = 15–90°):
- hkl 1 1 2, 17.2°, intensity 31.8
- hkl 0 2 2, 17.9°, intensity 41.7
- hkl 1 3 -2, 23.4°, intensity 94.7
- hkl 3 1 -2, 24.9°, intensity 100.0
- hkl 1 3 2, 25.2°, intensity 59.9
- hkl 2 4 0, 30.3°, intensity 28.9
- hkl 1 3 4, 34.0°, intensity 29.1
- hkl 4 4 -4, 44.6°, intensity 36.3

```
data_K2Al2I7
_symmetry_space_group_name_H-M 'C 1 2/c 1'
_symmetry_Int_Tables_number 15
_symmetry_space_group_name_Hall '-C 2yc'
_cell_length_a 11.710
_cell_length_b 13.765
_cell_length_c 14.636
_cell_angle_alpha 90.00
_cell_angle_beta 102.49
_cell_angle_gamma 90.00
loop_
_atom_site_label
_atom_site_type_symbol
_atom_site_fract_x
_atom_site_fract_y
_atom_site_fract_z
K1 K 0.000 0.209 0.003
Al1 Al 0.221 0.500 0.209
I1 I 0.000 0.499 0.250
I2 I 0.114 0.002 0.638
I3 I 0.249 0.153 0.889
I4 I 0.249 0.158 0.384
```


[9]
Starting from DFT lattice parameters and positions (GGA-PBE), the PXRD pattern of La8Al4I7 was computed for CuKα.
Peak positions follow from Bragg's law for the DFT cell and can differ from measured ones.

Main lines, by angle (2θ = 15–90°):
- hkl 1 2 -4, 28.2°, intensity 100.0
- hkl 1 3 -3, 28.4°, intensity 63.3
- hkl 0 3 8, 29.6°, intensity 60.6
- hkl 1 -3 3, 29.8°, intensity 98.3
- hkl 1 0 -6, 30.9°, intensity 72.3
- hkl 0 6 -1, 31.5°, intensity 57.2
- hkl 0 3 -9, 39.0°, intensity 68.7
- hkl 2 1 1, 41.5°, intensity 80.9

```
data_La8Al4I7
_symmetry_space_group_name_H-M 'P -1'
_symmetry_Int_Tables_number 2
_symmetry_space_group_name_Hall '-P 1'
_cell_length_a 4.347
_cell_length_b 18.129
_cell_length_c 25.495
_cell_angle_alpha 77.16
_cell_angle_beta 85.12
_cell_angle_gamma 83.16
loop_
_atom_site_label
_atom_site_type_symbol
_atom_site_fract_x
_atom_site_fract_y
_atom_site_fract_z
La1 La 0.003 0.071 0.423
La2 La 0.015 0.236 0.235
La3 La 0.025 0.371 0.080
La4 La 0.168 0.409 0.753
La5 La 0.189 0.721 0.399
La6 La 0.211 0.014 0.064
La7 La 0.359 0.802 0.981
La8 La 0.374 0.939 0.814
La9 La 0.386 0.088 0.641
La10 La 0.394 0.242 0.473
La11 La 0.404 0.396 0.297
La12 La 0.418 0.545 0.123
Al1 Al 0.068 0.562 0.800
Al2 Al 0.088 0.867 0.455
Al3 Al 0.106 0.172 0.116
Al4 Al 0.440 0.758 0.863
Al5 Al 0.460 0.058 0.523
Al6 Al 0.480 0.365 0.177
I1 I 0.080 0.046 0.294
I2 I 0.104 0.333 0.958
I3 I 0.131 0.636 0.600
I4 I 0.195 0.921 0.188
I5 I 0.218 0.123 0.942
I6 I 0.284 0.235 0.699
I7 I 0.292 0.388 0.530
I8 I 0.302 0.555 0.344
I9 I 0.317 0.697 0.173
I10 I 0.476 0.204 0.346
I11 I 0.500 0.500 0.000
```


[10]
Starting from DFT lattice parameters and positions (GGA-PBE), the PXRD pattern of Rb2LaAlI6 was computed for CuKα.
Peak positions follow from Bragg's law for the DFT cell and can differ from measured ones.

Main lines, by angle (2θ = 15–90°):
- hkl 2 2 2, 24.3°, intensity 94.6
- hkl 4 0 0, 28.2°, intensity 100.0
- hkl 4 4 0, 40.3°, intensity 75.4
- hkl 6 2 2, 47.6°, intensity 45.0
- hkl 4 4 4, 49.9°, intensity 26.8
- hkl 6 6 2, 64.1°, intensity 18.3
- hkl 8 4 0, 65.9°, intensity 34.5
- hkl 8 4 4, 73.2°, intensity 25.6

```
data_Rb2LaAlI6
_symmetry_space_group_name_H-M 'F m -3 m'
_symmetry_Int_Tables_number 225
_symmetry_space_group_name_Hall '-F 4 2 3'
_cell_length_a 12.671
_cell_length_b 12.671
_cell_length_c 12.671
_cell_angle_alpha 90.00
_cell_angle_beta 90.00
_cell_angle_gamma 90.00
loop_
_atom_site_label
_atom_site_type_symbol
_atom_site_fract_x
_atom_site_fract_y
_atom_site_fract_z
Rb1 Rb 0.250 0.250 0.250
La1 La 0.000 0.000 0.000
Al1 Al 0.000 0.000 0.500
I1 I 0.000 0.000 0.249
```


[11]
Starting from DFT lattice parameters and positions (GGA-PBE), the PXRD pattern of Li3AlI6 was computed for CuKα.
Peak positions follow from Bragg's law for the DFT cell and can differ from measured ones.

Main lines, by angle (2θ = 15–90°):
- hkl 3 1 0, 22.4°, intensity 52.4
- hkl 1 1 2, 23.5°, intensity 34.0
- hkl 0 4 0, 24.0°, intensity 83.7
- hkl 0 2 2, 24.6°, intensity 100.0
- hkl 3 1 1, 24.9°, intensity 75.5
- hkl 3 3 0, 28.2°, intensity 31.0
- hkl 2 2 2, 28.6°, intensity 31.3
- hkl 3 3 1, 30.2°, intensity 46.2

```
data_Li3AlI6
_symmetry_space_group_name_H-M 'C m c 21'
_symmetry_Int_Tables_number 36
_symmetry_space_group_name_Hall 'C 2c -2'
_cell_length_a 12.367
_cell_length_b 14.830
_cell_length_c 8.275
_cell_angle_alpha 90.00
_cell_angle_beta 90.00
_cell_angle_gamma 90.00
loop_
_atom_site_label
_atom_site_type_symbol
_atom_site_fract_x
_atom_site_fract_y
_atom_site_fract_z
Li1 Li 0.000 0.049 0.000
Li2 Li 0.232 0.416 0.973
Al1 Al 0.000 0.315 0.373
I1 I 0.000 0.265 0.073
I2 I 0.000 0.490 0.387
I3 I 0.162 0.006 0.734
I4 I 0.173 0.265 0.516
```